For Ba2HoBi2O6, a DFT-relaxed cell (PBE, Alexandria) gives the computed powder diffraction line list in this record (Cu Ka).
Lines closer than 0.1° are merged.

The 10 most intense peaks (2θ from 10° to 90°), sorted by position:
| 2theta | Rel. int. |
| --- | --- |
| 27.48 | 55 |
| 27.83 | 100 |
| 28.53 | 33 |
| 29.07 | 99 |
| 40.02 | 43 |
| 41.34 | 16 |
| 48.81 | 21 |
| 49.33 | 14 |
| 49.59 | 23 |
| 50.36 | 25 |

Structural model:
Cell lengths 6.413, 6.413, 7.105 Å; angles 115.07, 115.07, 60.80 degrees
Atoms (fractional coordinates):
Ba 0.208 0.208 0.137
Ba 0.792 0.792 0.863
Ho 0.000 0.000 0.500
Bi 0.434 0.434 0.734
Bi 0.566 0.566 0.266
O 0.165 0.679 0.225
O 0.204 0.204 0.503
O 0.321 0.835 0.775
O 0.679 0.165 0.225
O 0.796 0.796 0.497
O 0.835 0.321 0.775

---

For SnBr6N2, a DFT-relaxed cell (PBE, Alexandria) gives the computed powder diffraction line list in this record (Cu Ka).
Lines closer than 0.1° are merged.

The 10 most intense peaks (2θ from 10° to 90°), sorted by position:
| 2theta | Rel. int. |
| --- | --- |
| 14.54 | 38 |
| 16.80 | 90 |
| 29.31 | 78 |
| 33.98 | 100 |
| 38.13 | 48 |
| 48.81 | 70 |
| 51.99 | 25 |
| 57.96 | 30 |
| 60.80 | 24 |
| 81.58 | 31 |

Structural model:
Cell lengths 7.463, 7.463, 7.463 Å; angles 60.00, 60.00, 60.00 degrees
Atoms (fractional coordinates):
Sn 0.000 0.000 0.000
Br 0.249 0.249 0.751
Br 0.249 0.751 0.249
Br 0.249 0.751 0.751
Br 0.751 0.249 0.249
Br 0.751 0.249 0.751
Br 0.751 0.751 0.249
N 0.250 0.250 0.250
N 0.750 0.750 0.750

---

For SmBe3Ir, a DFT-relaxed cell (PBE, Alexandria) gives the computed powder diffraction line list in this record (Cu Ka).
Lines closer than 0.1° are merged.

The 10 most intense peaks (2θ from 10° to 90°), sorted by position:
| 2theta | Rel. int. |
| --- | --- |
| 13.47 | 28 |
| 21.13 | 64 |
| 23.77 | 24 |
| 26.45 | 39 |
| 31.46 | 43 |
| 32.03 | 100 |
| 33.81 | 52 |
| 36.84 | 63 |
| 40.22 | 29 |
| 43.43 | 25 |

Structural model:
Cell lengths 4.232, 5.302, 6.619 Å; angles 90.00, 96.63, 90.00 degrees
Atoms (fractional coordinates):
Sm 0.117 0.250 0.172
Sm 0.883 0.750 0.828
Be 0.349 0.047 0.611
Be 0.349 0.453 0.611
Be 0.461 0.750 0.123
Be 0.539 0.250 0.877
Be 0.651 0.547 0.389
Be 0.651 0.953 0.389
Ir 0.149 0.750 0.392
Ir 0.851 0.250 0.608

---

For MgTl6Pb3, a DFT-relaxed cell (PBE, Alexandria) gives the computed powder diffraction line list in this record (Cu Ka).
Lines closer than 0.1° are merged.

The 10 most intense peaks (2θ from 10° to 90°), sorted by position:
| 2theta | Rel. int. |
| --- | --- |
| 27.95 | 36 |
| 30.57 | 100 |
| 34.70 | 77 |
| 40.77 | 10 |
| 48.19 | 23 |
| 51.55 | 23 |
| 56.63 | 17 |
| 59.66 | 22 |
| 61.13 | 12 |
| 63.65 | 11 |

Structural model:
Cell lengths 6.141, 6.141, 9.578 Å; angles 90.00, 90.00, 120.00 degrees
Atoms (fractional coordinates):
Mg 0.000 0.000 0.000
Tl 0.000 0.368 0.802
Tl 0.000 0.632 0.198
Tl 0.368 0.000 0.802
Tl 0.368 0.368 0.198
Tl 0.632 0.000 0.198
Tl 0.632 0.632 0.802
Pb 0.000 0.000 0.500
Pb 0.333 0.667 0.500
Pb 0.667 0.333 0.500